# 1
This entry pairs a crystal structure of LiTmNi with its theoretical X-ray diffraction stick pattern. Radiation: a wavelength of 1.5418 Å. Structure: a cell relaxed with GGA-PBE.
Intensities are scaled so that the largest is 100.

Structural model:
a = 3.3752 Å, b = 3.3752 Å, c = 9.3012 Å
α = 90.00°, β = 90.00°, γ = 90.00°
Space group I4mm (No. 107)
Symmetry-distinct sites (fractional):
Li1 0.0000 0.0000 0.0000 [2 per cell]
Tm1 0.0000 0.0000 0.2929 [2 per cell]
Ni1 0.0000 0.0000 0.6390 [2 per cell]

Peak list (10 most intense, 2θ = 10–90°, in order of rising 2θ)
2θ (°)	Rel. int.
19.08	65
28.13	84
37.69	58
39.47	100
42.58	34
54.36	20
56.48	18
62.32	18
69.23	37
72.74	15


# 2
This entry pairs a crystal structure of AcSiIr with its theoretical X-ray diffraction stick pattern. Radiation: a wavelength of 1.5418 Å. Structure: a cell relaxed with GGA-PBE.
Intensities are scaled so that the largest is 100.

Structural model:
a = 6.5563 Å, b = 6.5563 Å, c = 6.5563 Å
α = 90.00°, β = 90.00°, γ = 90.00°
Space group P2_13 (No. 198)
Symmetry-distinct sites (fractional):
Ac1 0.1073 0.1073 0.1073 [4 per cell]
Si1 0.0952 0.5952 0.9048 [4 per cell]
Ir1 0.1682 0.3318 0.6682 [4 per cell]

Peak list (10 most intense, 2θ = 10–90°, in order of rising 2θ)
2θ (°)	Rel. int.
23.50	26
30.49	100
33.48	76
43.66	14
45.91	15
52.20	46
58.00	13
65.21	17
73.68	12
78.58	18


# 3
This entry pairs a crystal structure of PuPC with its theoretical X-ray diffraction stick pattern. Radiation: a wavelength of 1.5418 Å. Structure: a cell relaxed with GGA-PBE.
Intensities are scaled so that the largest is 100.

Structural model:
a = 3.3839 Å, b = 4.0784 Å, c = 6.9303 Å
α = 94.41°, β = 104.07°, γ = 90.02°
Space group P-1 (No. 2)
Symmetry-distinct sites (fractional):
Pu1 0.1937 0.4044 0.3870 [2 per cell]
P1 0.3696 0.0943 0.7409 [2 per cell]
C1 0.4506 0.4461 0.9035 [2 per cell]

Peak list (10 most intense, 2θ = 10–90°, in order of rising 2θ)
2θ (°)	Rel. int.
13.21	100
21.86	36
24.70	35
33.23	43
35.49	31
39.18	11
41.03	28
43.05	25
47.46	14
53.49	9


# 4
This entry pairs a crystal structure of Ho2Tm3Ga4 with its theoretical X-ray diffraction stick pattern. Radiation: a wavelength of 1.5418 Å. Structure: a cell relaxed with GGA-PBE.
Intensities are scaled so that the largest is 100.

Structural model:
a = 7.8406 Å, b = 7.8906 Å, c = 7.3102 Å
α = 90.00°, β = 106.58°, γ = 90.00°
Space group P2_1/c (No. 14)
Symmetry-distinct sites (fractional):
Ho1 0.1889 0.1854 0.0721 [4 per cell]
Tm1 0.2392 0.6744 0.2515 [4 per cell]
Tm2 0.5000 0.0000 0.5000 [2 per cell]
Ga1 0.0815 0.5288 0.8615 [4 per cell]
Ga2 0.4875 0.1254 0.8780 [4 per cell]

Peak list (10 most intense, 2θ = 10–90°, in order of rising 2θ)
2θ (°)	Rel. int.
30.06	32
31.64	46
32.14	28
32.75	86
32.92	76
33.15	100
33.75	41
35.85	39
36.49	59
38.69	60


# 5
This entry pairs a crystal structure of LaTcRh with its theoretical X-ray diffraction stick pattern. Radiation: a wavelength of 1.5418 Å. Structure: a cell relaxed with GGA-PBE.
Intensities are scaled so that the largest is 100.

Structural model:
a = 4.7750 Å, b = 4.8022 Å, c = 10.7246 Å
α = 90.00°, β = 90.00°, γ = 90.00°
Space group Cmmm (No. 65)
Symmetry-distinct sites (fractional):
La1 0.0000 0.0000 0.1772 [4 per cell]
Tc1 0.0000 0.5000 0.3870 [4 per cell]
Rh1 0.0000 0.0000 0.5000 [2 per cell]
Rh2 0.0000 0.5000 0.0000 [2 per cell]

Peak list (10 most intense, 2θ = 10–90°, in order of rising 2θ)
2θ (°)	Rel. int.
31.24	17
36.55	100
37.45	32
37.68	31
42.13	7
54.18	22
58.38	9
66.99	18
67.28	16
70.92	6


# 6
This entry pairs a crystal structure of La4Cd5 with its theoretical X-ray diffraction stick pattern. Radiation: a wavelength of 1.5418 Å. Structure: a cell relaxed with GGA-PBE.
Intensities are scaled so that the largest is 100.

Structural model:
a = 9.5941 Å, b = 9.5941 Å, c = 6.8039 Å
α = 90.00°, β = 90.00°, γ = 120.00°
Space group P6_3/mcm (No. 193)
Symmetry-distinct sites (fractional):
La1 0.0000 0.0000 0.0000 [2 per cell]
La2 0.0000 0.3642 0.2500 [6 per cell]
Cd1 0.0000 0.3099 0.7500 [6 per cell]
Cd2 0.3333 0.6667 0.0000 [4 per cell]

Peak list (10 most intense, 2θ = 10–90°, in order of rising 2θ)
2θ (°)	Rel. int.
26.20	4
31.37	7
32.29	100
42.07	5
46.32	16
53.90	4
57.62	23
64.26	13
76.95	5
82.86	5


# 7
This entry pairs a crystal structure of VHgGe with its theoretical X-ray diffraction stick pattern. Radiation: a wavelength of 1.5418 Å. Structure: a cell relaxed with GGA-PBE.
Intensities are scaled so that the largest is 100.

Structural model:
a = 4.3947 Å, b = 10.2050 Å, c = 5.2000 Å
α = 90.00°, β = 90.00°, γ = 90.00°
Space group Cccm (No. 66)
Symmetry-distinct sites (fractional):
V1 0.0000 0.0000 0.2500 [4 per cell]
Hg1 0.2500 0.2500 0.0000 [4 per cell]
Ge1 0.0000 0.5000 0.0000 [4 per cell]

Peak list (10 most intense, 2θ = 10–90°, in order of rising 2θ)
2θ (°)	Rel. int.
27.98	100
34.50	19
35.18	37
37.65	47
38.88	16
41.31	14
44.91	37
50.09	13
52.47	18
57.86	31


# 8
This entry pairs a crystal structure of Sr5Zn3 with its theoretical X-ray diffraction stick pattern. Radiation: a wavelength of 1.5418 Å. Structure: a cell relaxed with GGA-PBE.
Intensities are scaled so that the largest is 100.

Structural model:
a = 12.9662 Å, b = 12.9662 Å, c = 6.9697 Å
α = 90.00°, β = 90.00°, γ = 90.00°
Space group I4/mcm (No. 140)
Symmetry-distinct sites (fractional):
Sr1 0.0000 0.5000 0.2500 [4 per cell]
Sr2 0.0806 0.2091 0.0000 [16 per cell]
Zn1 0.0000 0.0000 0.2500 [4 per cell]
Zn2 0.1582 0.3418 0.5000 [8 per cell]

Peak list (10 most intense, 2θ = 10–90°, in order of rising 2θ)
2θ (°)	Rel. int.
25.56	24
27.92	62
29.09	47
30.84	51
31.20	100
32.27	41
37.91	17
48.73	28
49.70	21
57.69	19